# 1
Simulated powder diffraction line list of LiZn2Fe9O16 for Cu Kα, from a structure optimized by DFT (PBE+U).
Kinematic intensities with the Lorentz-polarization factor, no thermal factor.

Crystal structure
```
data_LiZn2Fe9O16
_cell_length_a 10.365
_cell_length_b 5.872
_cell_length_c 10.357
_cell_angle_alpha 90.00
_cell_angle_beta 110.74
_cell_angle_gamma 90.00
_space_group_name_H-M_alt 'C 1 m 1'
_space_group_IT_number 8
loop_
_space_group_symop_operation_xyz
'x,y,z'
'x,-y,z'
'x+1/2,y+1/2,z'
'x+1/2,-y+1/2,z'
loop_
_atom_site_label
_atom_site_fract_x
_atom_site_fract_y
_atom_site_fract_z
Li1 0.000 0.000 0.000
Zn1 0.183 0.000 0.562
Zn2 0.432 0.500 0.312
Fe1 0.178 0.249 0.312
Fe2 0.180 0.500 0.056
Fe3 0.186 0.255 0.814
Fe4 0.361 0.000 0.126
Fe5 0.370 0.500 0.631
Fe6 0.437 0.000 0.815
Fe7 0.498 0.000 0.495
O1 0.060 0.500 0.199
O2 0.067 0.245 0.432
O3 0.068 0.500 0.696
O4 0.069 0.000 0.209
O5 0.069 0.278 0.926
O6 0.070 0.000 0.702
O7 0.287 0.264 0.187
O8 0.294 0.500 0.919
O9 0.298 0.000 0.424
O10 0.298 0.500 0.429
O11 0.300 0.000 0.928
O12 0.308 0.235 0.702
```

The 10 most intense peaks (2θ from 5° to 70°), in order of rising 2θ:
- (0 0 2), 2θ 18.3, I 44
- (3 1 -1), 2θ 30.0, I 20
- (3 1 -3), 2θ 35.1, I 54
- (3 1 1), 2θ 35.7, I 100
- (2 2 -2), 2θ 37.2, I 20
- (4 0 -4), 2θ 42.4, I 17
- (2 2 2), 2θ 43.5, I 32
- (5 1 -5), 2θ 56.2, I 16
- (1 3 3), 2θ 57.5, I 30
- (6 2 -2), 2θ 62.4, I 49

***

# 2
Simulated powder diffraction line list of Li5Fe2Cu5O12 for Cu Kα, from a structure optimized by DFT (PBE+U).
Kinematic intensities with the Lorentz-polarization factor, no thermal factor.

Crystal structure
```
data_Li5Fe2Cu5O12
_cell_length_a 5.055
_cell_length_b 8.916
_cell_length_c 9.819
_cell_angle_alpha 90.00
_cell_angle_beta 100.75
_cell_angle_gamma 90.00
_space_group_name_H-M_alt 'C 1 2 1'
_space_group_IT_number 5
loop_
_space_group_symop_operation_xyz
'x,y,z'
'-x,y,-z'
'x+1/2,y+1/2,z'
'-x+1/2,y+1/2,-z'
loop_
_atom_site_label
_atom_site_fract_x
_atom_site_fract_y
_atom_site_fract_z
Li1 0.000 0.000 0.000
Li2 0.246 0.995 0.755
Li3 0.247 0.334 0.757
Fe1 0.000 0.164 0.500
Fe2 0.000 0.659 0.000
Cu1 0.000 0.331 0.000
Cu2 0.000 0.497 0.500
Cu3 0.000 0.833 0.500
Cu4 0.247 0.661 0.755
O1 0.110 0.501 0.887
O2 0.114 0.172 0.876
O3 0.129 0.661 0.377
O4 0.129 0.811 0.881
O5 0.135 0.010 0.374
O6 0.138 0.330 0.386
```

The 10 most intense peaks (2θ from 5° to 70°), in order of rising 2θ:
- (0 0 2), 2θ 18.4, I 36
- (0 2 0), 2θ 19.9, I 22
- (1 1 -1), 2θ 21.0, I 24
- (1 1 1), 2θ 23.8, I 29
- (1 3 1), 2θ 37.3, I 45
- (2 0 -2), 2θ 37.5, I 19
- (1 3 -3), 2θ 43.1, I 100
- (2 0 2), 2θ 44.0, I 47
- (1 3 5), 2θ 63.1, I 27
- (3 3 -1), 2θ 63.5, I 27